Ba3Bi3Sb: calculated X-ray powder pattern (Cu Kα, 1.54184 Å), based on DFT lattice parameters and positions (GGA-PBE).
Lines closer than 0.1° are merged.

Peak list (6 most intense, 2θ from 10° to 90°, in order of rising 2θ)
| 2θ/deg | Rel. int. |
| --- | --- |
| 23.6 | 59 |
| 23.8 | 85 |
| 24.1 | 75 |
| 33.7 | 82 |
| 33.9 | 86 |
| 34.1 | 100 |

Cell: 11.857 11.857 14.775 Å, 90.00 90.00 37.14°
Atoms (fractional coordinates):
Ba 0.019 0.633 0.129
Ba 0.133 0.519 0.629
Ba 0.203 0.797 0.864
Ba 0.297 0.703 0.364
Ba 0.367 0.981 0.129
Ba 0.481 0.867 0.629
Ba 0.519 0.133 0.371
Ba 0.633 0.019 0.871
Ba 0.703 0.297 0.636
Ba 0.797 0.203 0.136
Ba 0.867 0.481 0.371
Ba 0.981 0.367 0.871
Bi 0.050 0.618 0.374
Bi 0.118 0.550 0.874
Bi 0.229 0.771 0.622
Bi 0.271 0.729 0.122
Bi 0.382 0.950 0.374
Bi 0.450 0.882 0.874
Bi 0.550 0.118 0.126
Bi 0.618 0.050 0.626
Bi 0.729 0.271 0.878
Bi 0.771 0.229 0.378
Bi 0.882 0.450 0.126
Bi 0.950 0.382 0.626
Sb 0.089 0.089 0.500
Sb 0.411 0.411 0.000
Sb 0.589 0.589 0.000
Sb 0.911 0.911 0.500

Ba3BiSb3: calculated X-ray powder pattern (Cu Kα, 1.54184 Å), based on DFT lattice parameters and positions (GGA-PBE).
Lines closer than 0.1° are merged.

Peak list (6 most intense, 2θ from 10° to 90°, in order of rising 2θ)
| 2θ/deg | Rel. int. |
| --- | --- |
| 22.1 | 39 |
| 24.1 | 80 |
| 24.5 | 41 |
| 33.8 | 82 |
| 34.1 | 85 |
| 34.6 | 100 |

Cell: 11.711 11.711 14.559 Å, 90.00 90.00 37.96°
Atoms (fractional coordinates):
Ba 0.010 0.638 0.131
Ba 0.138 0.510 0.631
Ba 0.188 0.812 0.857
Ba 0.312 0.688 0.357
Ba 0.362 0.990 0.131
Ba 0.490 0.862 0.631
Ba 0.510 0.138 0.369
Ba 0.638 0.010 0.869
Ba 0.688 0.312 0.643
Ba 0.812 0.188 0.143
Ba 0.862 0.490 0.369
Ba 0.990 0.362 0.869
Bi 0.088 0.088 0.500
Bi 0.412 0.412 0.000
Bi 0.588 0.588 0.000
Bi 0.912 0.912 0.500
Sb 0.058 0.612 0.374
Sb 0.112 0.558 0.874
Sb 0.234 0.766 0.617
Sb 0.266 0.734 0.117
Sb 0.388 0.942 0.374
Sb 0.442 0.888 0.874
Sb 0.558 0.112 0.126
Sb 0.612 0.058 0.626
Sb 0.734 0.266 0.883
Sb 0.766 0.234 0.383
Sb 0.888 0.442 0.126
Sb 0.942 0.388 0.626

Ba8Bi5Sb: calculated X-ray powder pattern (Cu Kα, 1.54184 Å), based on DFT lattice parameters and positions (GGA-PBE).
Lines closer than 0.1° are merged.

Peak list (6 most intense, 2θ from 10° to 90°, in order of rising 2θ)
| 2θ/deg | Rel. int. |
| --- | --- |
| 26.3 | 100 |
| 31.3 | 66 |
| 37.6 | 21 |
| 43.1 | 21 |
| 52.7 | 33 |
| 63.9 | 22 |

Cell: 9.270 9.270 9.270 Å, 109.51 109.51 109.40°
Atoms (fractional coordinates):
Ba 0.018 0.629 0.753
Ba 0.228 0.477 0.105
Ba 0.371 0.124 0.389
Ba 0.372 0.124 0.895
Ba 0.523 0.628 0.752
Ba 0.735 0.982 0.611
Ba 0.876 0.265 0.247
Ba 0.876 0.772 0.248
Bi 0.127 0.252 0.626
Bi 0.250 0.750 0.500
Bi 0.499 0.873 0.126
Bi 0.626 0.501 0.374
Bi 0.748 0.374 0.874
Sb 0.000 0.000 0.000

Ba2SnBiSb: calculated X-ray powder pattern (Cu Kα, 1.54184 Å), based on DFT lattice parameters and positions (GGA-PBE).
Lines closer than 0.1° are merged.

Peak list (6 most intense, 2θ from 10° to 90°, in order of rising 2θ)
| 2θ/deg | Rel. int. |
| --- | --- |
| 27.7 | 100 |
| 31.4 | 54 |
| 34.7 | 21 |
| 36.3 | 24 |
| 51.1 | 14 |
| 54.0 | 22 |

Cell: 4.944 10.345 7.412 Å, 90.00 90.00 90.00°
Atoms (fractional coordinates):
Ba 0.250 0.033 0.248
Ba 0.250 0.467 0.248
Ba 0.750 0.533 0.752
Ba 0.750 0.967 0.752
Sn 0.250 0.750 0.547
Sn 0.750 0.250 0.453
Bi 0.250 0.250 0.718
Bi 0.750 0.750 0.282
Sb 0.250 0.750 0.951
Sb 0.750 0.250 0.049